Entry 1:
The following is a computed powder X-ray diffraction pattern of Sm4Ho5. It was derived from a crystal structure in Alexandria, relaxed with PBE, using Cu Kα X-rays.
Intensities are scaled so that the largest is 100.

Principal peaks in the range 10° ≤ 2θ ≤ 80°, by angle:
- 28.96 deg, d = 3.083 Å, intensity 18.7
- 30.10 deg, d = 2.969 Å, intensity 93.5
- 31.95 deg, d = 2.801 Å, intensity 100.0
- 32.52 deg, d = 2.753 Å, intensity 28.3
- 33.07 deg, d = 2.709 Å, intensity 92.5
- 34.99 deg, d = 2.565 Å, intensity 20.9
- 50.02 deg, d = 1.823 Å, intensity 17.9
- 52.50 deg, d = 1.743 Å, intensity 33.4
- 53.89 deg, d = 1.701 Å, intensity 19.4
- 59.49 deg, d = 1.554 Å, intensity 27.3
- 60.83 deg, d = 1.523 Å, intensity 15.9
- 62.54 deg, d = 1.485 Å, intensity 20.5

Structural model:
Cell lengths 3.6469, 12.1342, 13.1193 Å; angles 90.00, 90.00, 90.00 degrees
Space group Immm (No. 71)
One atom of each set of equivalent atoms:
Sm  0.0000  0.1433  0.1892 x8
Ho  0.0000  0.2051  0.5000 x4
Ho  0.0000  0.5000  0.1252 x4
Ho  0.0000  0.5000  0.5000 x2

Entry 2:
The following is a computed powder X-ray diffraction pattern of La6Tb3Ce. It was derived from a crystal structure in Alexandria, relaxed with PBE, using Cu Kα X-rays.
Intensities are scaled so that the largest is 100.

Principal peaks in the range 10° ≤ 2θ ≤ 80°, by angle:
- 17.73 deg, d = 5.003 Å, intensity 8.4
- 28.37 deg, d = 3.146 Å, intensity 62.9
- 30.96 deg, d = 2.888 Å, intensity 100.0
- 31.23 deg, d = 2.864 Å, intensity 21.6
- 36.14 deg, d = 2.486 Å, intensity 8.7
- 40.52 deg, d = 2.226 Å, intensity 16.2
- 42.49 deg, d = 2.128 Å, intensity 19.1
- 48.31 deg, d = 1.884 Å, intensity 15.9
- 53.49 deg, d = 1.713 Å, intensity 17.9
- 55.07 deg, d = 1.667 Å, intensity 18.3
- 55.45 deg, d = 1.657 Å, intensity 10.8
- 64.53 deg, d = 1.444 Å, intensity 10.3

Structural model:
Cell lengths 10.0053, 10.0053, 12.1397 Å; angles 90.00, 90.00, 120.00 degrees
Space group R3 (No. 146, hexagonal axes)
One atom of each set of equivalent atoms:
La  0.0149  0.6765  0.0000 x9
La  0.0272  0.3530  0.4989 x9
Tb  0.0000  0.0000  0.0792 x3
Tb  0.0000  0.0000  0.3262 x3
Tb  0.0000  0.0000  0.5836 x3
Ce  0.0000  0.0000  0.8175 x3

Entry 3:
The following is a computed powder X-ray diffraction pattern of Cs3K2Ag. It was derived from a crystal structure in Alexandria, relaxed with PBE, using Cu Kα X-rays.
Intensities are scaled so that the largest is 100.

Principal peaks in the range 10° ≤ 2θ ≤ 80°, by angle:
- 12.10 deg, d = 7.312 Å, intensity 61.1
- 21.24 deg, d = 4.183 Å, intensity 61.4
- 21.63 deg, d = 4.109 Å, intensity 79.6
- 22.55 deg, d = 3.944 Å, intensity 68.8
- 23.10 deg, d = 3.851 Å, intensity 93.7
- 23.21 deg, d = 3.833 Å, intensity 100.0
- 27.83 deg, d = 3.206 Å, intensity 34.7
- 32.58 deg, d = 2.749 Å, intensity 53.6
- 32.97 deg, d = 2.717 Å, intensity 74.3
- 35.37 deg, d = 2.537 Å, intensity 32.6
- 36.54 deg, d = 2.459 Å, intensity 33.0
- 42.74 deg, d = 2.115 Å, intensity 32.3

Structural model:
Cell lengths 24.3432, 7.6660, 10.1500 Å; angles 90.00, 91.39, 90.00 degrees
Space group C2/c (No. 15)
One atom of each set of equivalent atoms:
Cs  0.0000  0.0031  0.2500 x4
Cs  0.1130  0.5002  0.0078 x8
K  0.2031  0.9996  0.2925 x8
Ag  0.0000  0.4958  0.7500 x4

Entry 4:
The following is a computed powder X-ray diffraction pattern of La4AuBr6. It was derived from a crystal structure in Alexandria, relaxed with PBE, using Cu Kα X-rays.
Intensities are scaled so that the largest is 100.

Principal peaks in the range 10° ≤ 2θ ≤ 80°, by angle:
- 14.82 deg, d = 5.977 Å, intensity 45.6
- 21.30 deg, d = 4.170 Å, intensity 96.5
- 29.17 deg, d = 3.062 Å, intensity 45.5
- 31.21 deg, d = 2.865 Å, intensity 28.7
- 34.90 deg, d = 2.571 Å, intensity 100.0
- 35.61 deg, d = 2.521 Å, intensity 62.7
- 41.64 deg, d = 2.169 Å, intensity 35.6
- 41.87 deg, d = 2.157 Å, intensity 32.8
- 46.67 deg, d = 1.946 Å, intensity 17.2
- 51.25 deg, d = 1.783 Å, intensity 18.9
- 62.17 deg, d = 1.493 Å, intensity 22.0
- 63.51 deg, d = 1.465 Å, intensity 21.0

Structural model:
Cell lengths 10.0836, 10.0836, 7.4217 Å; angles 90.00, 90.00, 90.00 degrees
Space group P4_2/nmc (No. 137, origin choice 2)
One atom of each set of equivalent atoms:
La  0.0049  0.7500  0.0652 x8
Au  0.2500  0.7500  0.2500 x2
Br  0.0372  0.5372  0.7500 x8
Br  0.2500  0.2500  0.1937 x4

Entry 5:
The following is a computed powder X-ray diffraction pattern of Li2PuHg4. It was derived from a crystal structure in Alexandria, relaxed with PBE, using Cu Kα X-rays.
Intensities are scaled so that the largest is 100.

Principal peaks in the range 10° ≤ 2θ ≤ 80°, by angle:
- 18.26 deg, d = 4.859 Å, intensity 15.6
- 22.11 deg, d = 4.020 Å, intensity 18.2
- 24.89 deg, d = 3.578 Å, intensity 15.9
- 25.93 deg, d = 3.436 Å, intensity 39.0
- 28.83 deg, d = 3.097 Å, intensity 32.6
- 36.25 deg, d = 2.478 Å, intensity 100.0
- 37.00 deg, d = 2.429 Å, intensity 55.3
- 45.11 deg, d = 2.010 Å, intensity 13.5
- 53.33 deg, d = 1.718 Å, intensity 19.7
- 53.87 deg, d = 1.702 Å, intensity 18.8
- 66.19 deg, d = 1.412 Å, intensity 35.7
- 71.40 deg, d = 1.321 Å, intensity 14.0

Structural model:
Cell lengths 4.8587, 4.8587, 7.1556 Å; angles 90.00, 90.00, 90.00 degrees
Space group P4/mmm (No. 123)
One atom of each set of equivalent atoms:
Li  0.0000  0.0000  0.0000 x1
Li  0.5000  0.5000  0.5000 x1
Pu  0.0000  0.0000  0.5000 x1
Hg  0.0000  0.5000  0.2145 x4

Entry 6:
The following is a computed powder X-ray diffraction pattern of TbSm2Dy2Ho. It was derived from a crystal structure in Alexandria, relaxed with PBE, using Cu Kα X-rays.
Intensities are scaled so that the largest is 100.

Principal peaks in the range 10° ≤ 2θ ≤ 80°, by angle:
- 26.86 deg, d = 3.320 Å, intensity 26.4
- 28.77 deg, d = 3.103 Å, intensity 59.6
- 30.50 deg, d = 2.931 Å, intensity 100.0
- 31.38 deg, d = 2.850 Å, intensity 25.4
- 33.42 deg, d = 2.681 Å, intensity 16.4
- 33.85 deg, d = 2.648 Å, intensity 41.2
- 36.14 deg, d = 2.486 Å, intensity 20.2
- 38.36 deg, d = 2.347 Å, intensity 14.9
- 41.11 deg, d = 2.196 Å, intensity 44.9
- 54.23 deg, d = 1.691 Å, intensity 17.3
- 62.57 deg, d = 1.485 Å, intensity 16.3
- 64.57 deg, d = 1.443 Å, intensity 21.5

Structural model:
Cell lengths 6.6330, 17.5931, 3.3819 Å; angles 90.00, 90.00, 90.00 degrees
Space group Pnnm (No. 58)
One atom of each set of equivalent atoms:
Tb  0.0000  0.0000  0.0000 x2
Sm  0.2344  0.3499  0.5000 x4
Dy  0.2389  0.1787  0.0000 x4
Ho  0.0000  0.5000  0.0000 x2

Entry 7:
The following is a computed powder X-ray diffraction pattern of CaZr2S4. It was derived from a crystal structure in Alexandria, relaxed with PBE, using Cu Kα X-rays.
Intensities are scaled so that the largest is 100.

Principal peaks in the range 10° ≤ 2θ ≤ 80°, by angle:
- 13.65 deg, d = 6.486 Å, intensity 61.8
- 24.87 deg, d = 3.580 Å, intensity 37.0
- 25.32 deg, d = 3.518 Å, intensity 100.0
- 31.30 deg, d = 2.858 Å, intensity 29.3
- 32.62 deg, d = 2.745 Å, intensity 44.2
- 33.36 deg, d = 2.686 Å, intensity 69.6
- 35.51 deg, d = 2.528 Å, intensity 78.5
- 37.73 deg, d = 2.384 Å, intensity 27.7
- 43.06 deg, d = 2.101 Å, intensity 55.4
- 48.59 deg, d = 1.874 Å, intensity 32.0
- 49.55 deg, d = 1.840 Å, intensity 31.0
- 49.90 deg, d = 1.827 Å, intensity 36.0

Structural model:
Cell lengths 3.7475, 12.0985, 12.9722 Å; angles 90.00, 90.00, 90.00 degrees
Space group Cmcm (No. 63)
One atom of each set of equivalent atoms:
Ca  0.0000  0.1169  0.2500 x4
Zr  0.0000  0.3728  0.0623 x8
S  0.0000  0.0000  0.0000 x4
S  0.0000  0.2721  0.6169 x8
S  0.0000  0.4463  0.2500 x4

Entry 8:
The following is a computed powder X-ray diffraction pattern of Ac2AgO2F2. It was derived from a crystal structure in Alexandria, relaxed with PBE, using Cu Kα X-rays.
Intensities are scaled so that the largest is 100.

Principal peaks in the range 10° ≤ 2θ ≤ 80°, by angle:
- 24.33 deg, d = 3.659 Å, intensity 35.7
- 26.23 deg, d = 3.398 Å, intensity 100.0
- 29.84 deg, d = 2.994 Å, intensity 62.9
- 41.49 deg, d = 2.176 Å, intensity 33.1
- 43.89 deg, d = 2.063 Å, intensity 32.6
- 48.68 deg, d = 1.870 Å, intensity 20.1
- 50.81 deg, d = 1.797 Å, intensity 29.8
- 51.85 deg, d = 1.763 Å, intensity 15.8
- 53.98 deg, d = 1.699 Å, intensity 12.9
- 61.98 deg, d = 1.497 Å, intensity 9.7
- 70.22 deg, d = 1.340 Å, intensity 12.9
- 72.01 deg, d = 1.311 Å, intensity 11.3

Structural model:
Cell lengths 4.1258, 4.1258, 10.9766 Å; angles 90.00, 90.00, 120.00 degrees
Space group P-3m1 (No. 164)
One atom of each set of equivalent atoms:
Ac  0.3333  0.6667  0.1457 x2
Ag  0.0000  0.0000  0.5000 x1
O  0.3333  0.6667  0.9200 x2
F  0.0000  0.0000  0.2472 x2

Entry 9:
The following is a computed powder X-ray diffraction pattern of MnH4NCl3. It was derived from a crystal structure in Alexandria, relaxed with PBE, using Cu Kα X-rays.
Intensities are scaled so that the largest is 100.

Principal peaks in the range 10° ≤ 2θ ≤ 80°, by angle:
- 11.26 deg, d = 7.860 Å, intensity 69.7
- 11.78 deg, d = 7.510 Å, intensity 65.6
- 15.21 deg, d = 5.824 Å, intensity 44.8
- 30.09 deg, d = 2.970 Å, intensity 28.8
- 30.69 deg, d = 2.913 Å, intensity 100.0
- 31.32 deg, d = 2.856 Å, intensity 23.4
- 32.41 deg, d = 2.762 Å, intensity 59.9
- 37.22 deg, d = 2.416 Å, intensity 18.3
- 37.84 deg, d = 2.377 Å, intensity 20.7
- 44.67 deg, d = 2.028 Å, intensity 27.0
- 46.78 deg, d = 1.942 Å, intensity 26.2
- 49.50 deg, d = 1.842 Å, intensity 44.6

Structural model:
Cell lengths 9.2233, 3.8831, 15.0197 Å; angles 90.00, 90.00, 90.00 degrees
Space group Pnma (No. 62)
One atom of each set of equivalent atoms:
Mn  0.1588  0.2500  0.0531 x4
H  0.0460  0.2500  0.6935 x4
H  0.0786  0.7500  0.3886 x4
H  0.1145  0.5393  0.2915 x8
N  0.0636  0.7500  0.3207 x4
Cl  0.0223  0.2500  0.9049 x4
Cl  0.1819  0.2500  0.5007 x4
Cl  0.2385  0.7500  0.7046 x4

Entry 10:
The following is a computed powder X-ray diffraction pattern of Dy2Y2TmTh. It was derived from a crystal structure in Alexandria, relaxed with PBE, using Cu Kα X-rays.
Intensities are scaled so that the largest is 100.

Principal peaks in the range 10° ≤ 2θ ≤ 80°, by angle:
- 14.97 deg, d = 5.917 Å, intensity 2.6
- 30.83 deg, d = 2.900 Å, intensity 100.0
- 32.00 deg, d = 2.797 Å, intensity 2.6
- 35.69 deg, d = 2.515 Å, intensity 33.8
- 35.86 deg, d = 2.504 Å, intensity 17.1
- 51.30 deg, d = 1.781 Å, intensity 6.0
- 51.48 deg, d = 1.775 Å, intensity 29.9
- 61.12 deg, d = 1.516 Å, intensity 28.4
- 61.33 deg, d = 1.511 Å, intensity 14.3
- 64.17 deg, d = 1.451 Å, intensity 6.1
- 64.29 deg, d = 1.449 Å, intensity 6.1
- 75.61 deg, d = 1.258 Å, intensity 3.8

Structural model:
Cell lengths 5.0091, 10.6856, 7.1056 Å; angles 90.00, 90.00, 90.00 degrees
Space group Pmc2_1 (No. 26)
One atom of each set of equivalent atoms:
Dy  0.0000  0.1633  0.0000 x2
Dy  0.5000  0.3292  0.7455 x2
Y  0.0000  0.4992  0.5009 x2
Y  0.5000  0.3300  0.2561 x2
Tm  0.5000  0.9995  0.2506 x2
Th  0.0000  0.1666  0.5019 x2

Entry 11:
The following is a computed powder X-ray diffraction pattern of Pm2PrEr6. It was derived from a crystal structure in Alexandria, relaxed with PBE, using Cu Kα X-rays.
Intensities are scaled so that the largest is 100.

Principal peaks in the range 10° ≤ 2θ ≤ 80°, by angle:
- 25.72 deg, d = 3.463 Å, intensity 4.6
- 31.67 deg, d = 2.825 Å, intensity 100.0
- 41.25 deg, d = 2.189 Å, intensity 8.0
- 45.40 deg, d = 1.998 Å, intensity 17.1
- 52.87 deg, d = 1.732 Å, intensity 4.3
- 56.40 deg, d = 1.631 Å, intensity 15.5
- 56.45 deg, d = 1.630 Å, intensity 13.0
- 62.96 deg, d = 1.476 Å, intensity 14.2
- 63.03 deg, d = 1.475 Å, intensity 3.3
- 66.19 deg, d = 1.412 Å, intensity 6.5
- 75.20 deg, d = 1.263 Å, intensity 5.2
- 75.28 deg, d = 1.262 Å, intensity 2.6

Structural model:
Cell lengths 16.9382, 9.7853, 3.4632 Å; angles 90.00, 90.09, 90.00 degrees
Space group C2/m (No. 12)
One atom of each set of equivalent atoms:
Pm  0.1666  0.0000  0.0000 x4
Pr  0.0000  0.5000  0.0000 x2
Er  0.0000  0.1658  0.5000 x4
Er  0.1670  0.3331  0.4999 x8

Entry 12:
The following is a computed powder X-ray diffraction pattern of LiSm2Dy3Se6. It was derived from a crystal structure in Alexandria, relaxed with PBE, using Cu Kα X-rays.
Intensities are scaled so that the largest is 100.

Principal peaks in the range 10° ≤ 2θ ≤ 80°, by angle:
- 13.26 deg, d = 6.675 Å, intensity 4.8
- 26.68 deg, d = 3.341 Å, intensity 11.3
- 30.91 deg, d = 2.893 Å, intensity 100.0
- 44.23 deg, d = 2.048 Å, intensity 37.0
- 44.29 deg, d = 2.045 Å, intensity 24.4
- 44.40 deg, d = 2.041 Å, intensity 12.3
- 54.88 deg, d = 1.673 Å, intensity 12.9
- 55.06 deg, d = 1.668 Å, intensity 12.9
- 64.41 deg, d = 1.447 Å, intensity 11.9
- 73.05 deg, d = 1.295 Å, intensity 11.1
- 73.15 deg, d = 1.294 Å, intensity 16.2
- 73.33 deg, d = 1.291 Å, intensity 5.5

Structural model:
Cell lengths 7.0796, 12.2978, 7.0877 Å; angles 90.00, 109.64, 90.00 degrees
Space group C2/m (No. 12)
One atom of each set of equivalent atoms:
Li  0.0000  0.0000  0.0000 x2
Sm  0.0000  0.3345  0.0000 x4
Dy  0.0000  0.1683  0.5000 x4
Dy  0.0000  0.5000  0.5000 x2
Se  0.2361  0.0000  0.7503 x4
Se  0.2438  0.1606  0.2511 x8